Entry 1:
Structure and calculated powder diffraction line list of La3Tb2Ho5 (a cell relaxed with PBE; copper Kα).
Intensities are scaled so that the largest is 100.

Crystal structure
a b c (Å): 10.6956 16.4174 9.3315
angles (deg): 90.00 124.92 90.00
Space group C2/c (No. 15)
Asymmetric unit:
La (0.0000, 0.2350, 0.2500) (multiplicity 4)
La (0.1438, 0.1261, 0.0466) (multiplicity 8)
Tb (0.1505, 0.3834, 0.5437) (multiplicity 8)
Ho (0.0000, 0.0253, 0.2500) (multiplicity 4)
Ho (0.0000, 0.2748, 0.7500) (multiplicity 4)
Ho (0.0000, 0.4701, 0.7500) (multiplicity 4)
Ho (0.2374, 0.3884, 0.2265) (multiplicity 8)

Most intense lines, 5 to 70 degrees two-theta, by angle:
two_theta	I_rel	h k l
29.82	100	2 4 -2
30.73	95	2 2 1
31.98	22	0 4 2
33.51	47	4 0 -2
36.90	27	2 6 -1
64.14	19	2 10 1

---

Entry 2:
Structure and calculated powder diffraction line list of LaTb2HoTh (a cell relaxed with PBE; copper Kα).
Intensities are scaled so that the largest is 100.

Crystal structure
a b c (Å): 3.5269 5.6870 8.7434
angles (deg): 90.00 90.05 90.00
Space group P2/m (No. 10)
Asymmetric unit:
La (0.0000, 0.0000, 0.0000) (multiplicity 1)
Tb (0.0013, 0.5000, 0.3217) (multiplicity 2)
Ho (0.5000, 0.0000, 0.5000) (multiplicity 1)
Th (0.5000, 0.5000, 0.0000) (multiplicity 1)

Most intense lines, 5 to 70 degrees two-theta, by angle:
two_theta	I_rel	h k l
31.51	100	0 2 0
31.56	56	1 1 1
32.62	23	1 0 -2
34.58	31	0 1 3
36.34	27	1 1 -2
61.39	25	1 1 -5

---

Entry 3:
Structure and calculated powder diffraction line list of LaTbHoTl (a cell relaxed with PBE; copper Kα).
Intensities are scaled so that the largest is 100.

Crystal structure
a b c (Å): 7.8783 7.8783 7.8783
angles (deg): 90.00 90.00 90.00
Space group F-43m (No. 216)
Asymmetric unit:
La (0.0000, 0.0000, 0.0000) (multiplicity 4)
Tb (0.0000, 0.0000, 0.5000) (multiplicity 4)
Ho (0.2500, 0.2500, 0.7500) (multiplicity 4)
Tl (0.2500, 0.2500, 0.2500) (multiplicity 4)

Most intense lines, 5 to 70 degrees two-theta, by angle:
two_theta	I_rel	h k l
19.52	1	1 1 1
22.57	1	2 0 0
32.14	100	2 2 0
46.08	19	4 0 0
57.29	39	4 2 2
67.22	12	4 4 0

---

Entry 4:
Structure and calculated powder diffraction line list of LaTb3HoTm (a cell relaxed with PBE; copper Kα).
Intensities are scaled so that the largest is 100.

Crystal structure
a b c (Å): 22.4536 5.3995 6.8292
angles (deg): 90.00 98.10 90.00
Space group C2/m (No. 12)
Asymmetric unit:
La (0.1288, 0.0000, 0.4819) (multiplicity 4)
Tb (0.0236, 0.0000, 0.7773) (multiplicity 4)
Tb (0.1738, 0.5000, 0.7781) (multiplicity 4)
Tb (0.2262, 0.5000, 0.3111) (multiplicity 4)
Ho (0.1665, 0.0000, 0.0296) (multiplicity 4)
Tm (0.0734, 0.5000, 0.1391) (multiplicity 4)

Most intense lines, 5 to 70 degrees two-theta, by angle:
two_theta	I_rel	h k l
30.46	79	5 1 1
32.12	100	3 1 -2
32.72	36	7 1 0
33.08	33	8 0 -1
33.18	51	0 2 0
47.56	24	8 2 -1

---

Entry 5:
Structure and calculated powder diffraction line list of La2Tb6HoTm (a cell relaxed with PBE; copper Kα).
Intensities are scaled so that the largest is 100.

Crystal structure
a b c (Å): 9.0338 15.0208 9.8793
angles (deg): 90.00 100.14 90.00
Space group C2/c (No. 15)
Asymmetric unit:
La (0.2433, 0.0499, 0.0421) (multiplicity 8)
Tb (0.0687, 0.1920, 0.4428) (multiplicity 8)
Tb (0.1010, 0.3960, 0.6196) (multiplicity 8)
Tb (0.1990, 0.2201, 0.8106) (multiplicity 8)
Ho (0.0000, 0.0134, 0.7500) (multiplicity 4)
Tm (0.0000, 0.4045, 0.2500) (multiplicity 4)

Most intense lines, 5 to 70 degrees two-theta, by angle:
two_theta	I_rel	h k l
28.65	41	1 3 2
30.03	48	0 2 3
30.53	66	3 1 -1
31.46	100	1 5 0
31.88	72	2 2 2
32.98	70	1 3 -3

---

Entry 6:
Structure and calculated powder diffraction line list of La3TbY6Ho2 (a cell relaxed with PBE; copper Kα).
Intensities are scaled so that the largest is 100.

Crystal structure
a b c (Å): 6.2548 10.8348 11.9040
angles (deg): 90.00 100.08 90.00
Space group C2/m (No. 12)
Asymmetric unit:
La (0.0000, 0.0000, 0.0000) (multiplicity 2)
La (0.0000, 0.3334, 0.0000) (multiplicity 4)
Tb (0.0000, 0.5000, 0.5000) (multiplicity 2)
Y (0.2478, 0.0000, 0.7444) (multiplicity 4)
Y (0.2481, 0.3333, 0.7444) (multiplicity 8)
Ho (0.0000, 0.1668, 0.5000) (multiplicity 4)

Most intense lines, 5 to 70 degrees two-theta, by angle:
two_theta	I_rel	h k l
30.33	100	1 3 1
30.51	33	0 0 4
35.22	67	2 0 2
50.55	24	0 6 0
50.78	23	1 3 5
60.13	23	4 0 0

---

Entry 7:
Structure and calculated powder diffraction line list of LaHoThTc (a cell relaxed with PBE; copper Kα).
Intensities are scaled so that the largest is 100.

Crystal structure
a b c (Å): 8.0331 4.6352 7.0334
angles (deg): 90.00 112.39 90.00
Space group Cm (No. 8)
Asymmetric unit:
La (0.0000, 0.0000, 0.0000) (multiplicity 2)
Ho (0.2882, 0.5000, 0.3621) (multiplicity 2)
Th (0.0572, 0.5000, 0.6686) (multiplicity 2)
Tc (0.1992, 0.0000, 0.5952) (multiplicity 2)

Most intense lines, 5 to 70 degrees two-theta, by angle:
two_theta	I_rel	h k l
13.62	39	0 0 1
28.80	74	2 0 -2
31.98	100	2 0 1
38.85	86	0 2 0
51.17	27	2 2 1
58.27	37	3 1 2

---

Entry 8:
Structure and calculated powder diffraction line list of LaHo5Te8 (a cell relaxed with PBE; copper Kα).
Intensities are scaled so that the largest is 100.

Crystal structure
a b c (Å): 12.8524 12.8524 12.8524
angles (deg): 90.00 90.00 90.00
Space group F-43m (No. 216)
Asymmetric unit:
La (0.0000, 0.0000, 0.0000) (multiplicity 4)
Ho (0.1233, 0.1233, 0.3767) (multiplicity 16)
Ho (0.2500, 0.2500, 0.7500) (multiplicity 4)
Te (0.1181, 0.1181, 0.6181) (multiplicity 16)
Te (0.1371, 0.1371, 0.1371) (multiplicity 16)

Most intense lines, 5 to 70 degrees two-theta, by angle:
two_theta	I_rel	h k l
19.54	17	2 2 0
22.95	60	3 1 1
27.76	63	4 0 0
36.32	41	5 1 1
39.67	100	4 4 0
64.89	19	8 4 0

---

Entry 9:
Structure and calculated powder diffraction line list of La4HoTe7 (a cell relaxed with PBE; copper Kα).
Intensities are scaled so that the largest is 100.

Crystal structure
a b c (Å): 14.8768 4.4240 13.4823
angles (deg): 90.00 104.91 90.00
Space group Cm (No. 8)
Asymmetric unit:
La (0.0000, 0.0000, 0.0000) (multiplicity 2)
La (0.0885, 0.5000, 0.3786) (multiplicity 2)
La (0.1909, 0.0000, 0.7656) (multiplicity 2)
La (0.3886, 0.5000, 0.5664) (multiplicity 2)
Ho (0.2713, 0.5000, 0.1456) (multiplicity 2)
Te (0.0504, 0.5000, 0.6216) (multiplicity 2)
Te (0.1295, 0.5000, 0.9273) (multiplicity 2)
Te (0.1568, 0.0000, 0.2209) (multiplicity 2)
Te (0.2264, 0.0000, 0.5212) (multiplicity 2)
Te (0.3515, 0.5000, 0.7863) (multiplicity 2)
Te (0.3752, 0.0000, 0.0677) (multiplicity 2)
Te (0.4236, 0.5000, 0.3446) (multiplicity 2)

Most intense lines, 5 to 70 degrees two-theta, by angle:
two_theta	I_rel	h k l
26.57	50	2 0 3
27.05	100	2 0 -4
28.47	82	3 1 -2
29.46	54	3 1 1
31.36	50	3 1 -3
40.79	53	0 2 0

---

Entry 10:
Structure and calculated powder diffraction line list of LaHo2Te4 (a cell relaxed with PBE; copper Kα).
Intensities are scaled so that the largest is 100.

Crystal structure
a b c (Å): 4.3504 14.3058 14.9551
angles (deg): 90.00 90.00 90.00
Space group Cmcm (No. 63)
Asymmetric unit:
La (0.0000, 0.1220, 0.2500) (multiplicity 4)
Ho (0.0000, 0.3685, 0.0655) (multiplicity 8)
Te (0.0000, 0.0000, 0.0000) (multiplicity 4)
Te (0.0000, 0.2732, 0.6201) (multiplicity 8)
Te (0.0000, 0.4546, 0.2500) (multiplicity 4)

Most intense lines, 5 to 70 degrees two-theta, by angle:
two_theta	I_rel	h k l
21.73	51	0 2 3
26.91	66	0 2 4
28.40	96	1 3 1
30.27	100	1 3 2
37.01	60	1 1 5
41.97	79	0 6 3

---

Entry 11:
Structure and calculated powder diffraction line list of La2Ho2Te7 (a cell relaxed with PBE; copper Kα).
Intensities are scaled so that the largest is 100.

Crystal structure
a b c (Å): 4.3793 16.0930 9.9334
angles (deg): 90.00 90.00 90.00
Space group Imm2 (No. 44)
Asymmetric unit:
La (0.0000, 0.2424, 0.0000) (multiplicity 4)
Ho (0.0000, 0.0000, 0.2289) (multiplicity 2)
Ho (0.0000, 0.5000, 0.1716) (multiplicity 2)
Te (0.0000, 0.0000, 0.9025) (multiplicity 2)
Te (0.0000, 0.1059, 0.5042) (multiplicity 4)
Te (0.0000, 0.3273, 0.2985) (multiplicity 4)
Te (0.0000, 0.3631, 0.6894) (multiplicity 4)

Most intense lines, 5 to 70 degrees two-theta, by angle:
two_theta	I_rel	h k l
27.72	38	1 1 2
31.51	100	1 4 1
31.95	39	1 3 2
35.78	53	1 2 3
38.13	31	0 6 2
41.23	33	2 0 0

---

Entry 12:
Structure and calculated powder diffraction line list of LaHo3Te6 (a cell relaxed with PBE; copper Kα).
Intensities are scaled so that the largest is 100.

Crystal structure
a b c (Å): 12.5175 4.4131 12.8522
angles (deg): 90.00 109.34 90.00
Space group P2_1/m (No. 11)
Asymmetric unit:
La (0.0483, 0.2500, 0.1975) (multiplicity 2)
Ho (0.1556, 0.2500, 0.5838) (multiplicity 2)
Ho (0.3187, 0.7500, 0.9992) (multiplicity 2)
Ho (0.4386, 0.2500, 0.3353) (multiplicity 2)
Te (0.0853, 0.7500, 0.4056) (multiplicity 2)
Te (0.1189, 0.2500, 0.9671) (multiplicity 2)
Te (0.1973, 0.7500, 0.7500) (multiplicity 2)
Te (0.2622, 0.7500, 0.2251) (multiplicity 2)
Te (0.3905, 0.2500, 0.5583) (multiplicity 2)
Te (0.4830, 0.2500, 0.1163) (multiplicity 2)

Most intense lines, 5 to 70 degrees two-theta, by angle:
two_theta	I_rel	h k l
23.53	41	1 1 1
27.65	100	2 1 1
28.29	62	2 0 -4
30.43	70	3 1 0
37.26	73	4 1 -3
40.90	77	0 2 0